# 1
TbNd6Ho: simulated powder diffraction line list (Cu Kα X-rays), based on a crystal structure in Alexandria, relaxed with GGA-PBE.
Intensities are scaled so that the largest is 1000.

Top 10 peaks for 2θ from 15° to 90°, in order of rising 2θ:
30.0 deg, I = 1000; 34.7 deg, I = 340; 35.0 deg, I = 167; 50.1 deg, I = 302; 59.2 deg, I = 146; 59.4 deg, I = 144; 59.7 deg, I = 142; 62.2 deg, I = 63; 81.3 deg, I = 88; 83.8 deg, I = 82

Crystal structure
```
data_TbNd6Ho
_chemical_formula_sum 'Tb4 Nd24 Ho4'
_cell_length_a 7.3320
_cell_length_b 10.2654
_cell_length_c 14.5969
_cell_angle_alpha 90.00
_cell_angle_beta 90.00
_cell_angle_gamma 90.00
_symmetry_space_group_name_H-M 'F m m m'
_symmetry_Int_Tables_number 69
_symmetry_space_group_name_Hall '-F 2 2'
loop_
_atom_site_label
_atom_site_type_symbol
_atom_site_fract_x
_atom_site_fract_y
_atom_site_fract_z
_atom_site_occupancy
Tb1 Tb 0.0000 0.0000 0.0000 1
Nd1 Nd 0.0000 0.0000 0.2502 1
Nd2 Nd 0.2500 0.2500 0.1233 1
Ho1 Ho 0.0000 0.0000 0.5000 1
```

***

# 2
Ti4Bi2O11: simulated powder diffraction line list (Cu Kα X-rays), based on a crystal structure in Alexandria, relaxed with GGA-PBE.
Intensities are scaled so that the largest is 1000.

Top 10 peaks for 2θ from 15° to 90°, in order of rising 2θ:
17.2 deg, I = 459; 27.1 deg, I = 303; 27.3 deg, I = 540; 29.9 deg, I = 1000; 30.0 deg, I = 690; 30.3 deg, I = 538; 30.4 deg, I = 431; 32.7 deg, I = 474; 48.0 deg, I = 414; 53.5 deg, I = 312

Crystal structure
```
data_Ti4Bi2O11
_chemical_formula_sum 'Ti8 Bi4 O22'
_cell_length_a 14.9377
_cell_length_b 3.7949
_cell_length_c 10.3161
_cell_angle_alpha 90.00
_cell_angle_beta 132.88
_cell_angle_gamma 90.00
_symmetry_space_group_name_H-M 'C 1 2/m 1'
_symmetry_Int_Tables_number 12
_symmetry_space_group_name_Hall '-C 2y'
loop_
_atom_site_label
_atom_site_type_symbol
_atom_site_fract_x
_atom_site_fract_y
_atom_site_fract_z
_atom_site_occupancy
Ti1 Ti 0.1192 0.0000 0.0330 1
Ti2 Ti 0.1602 0.0000 0.7183 1
Bi1 Bi 0.1109 0.5000 0.3579 1
O1 O 0.0000 0.0000 0.5000 1
O2 O 0.0631 0.0000 0.1667 1
O3 O 0.1225 0.0000 0.8522 1
O4 O 0.1466 0.5000 0.0711 1
O5 O 0.2006 0.5000 0.7420 1
O6 O 0.2072 0.0000 0.5484 1
```

***

# 3
HfPd2Au4: simulated powder diffraction line list (Cu Kα X-rays), based on a crystal structure in Alexandria, relaxed with GGA-PBE.
Intensities are scaled so that the largest is 1000.

Top 10 peaks for 2θ from 15° to 90°, in order of rising 2θ:
15.5 deg, I = 132; 22.8 deg, I = 196; 38.5 deg, I = 1000; 39.0 deg, I = 965; 43.4 deg, I = 362; 45.3 deg, I = 330; 46.5 deg, I = 269; 65.5 deg, I = 188; 66.9 deg, I = 182; 76.0 deg, I = 136

Crystal structure
```
data_HfPd2Au4
_chemical_formula_sum 'Hf2 Pd4 Au8'
_cell_length_a 8.3416
_cell_length_b 7.8139
_cell_length_c 4.0066
_cell_angle_alpha 90.00
_cell_angle_beta 91.14
_cell_angle_gamma 90.00
_symmetry_space_group_name_H-M 'C 1 2/m 1'
_symmetry_Int_Tables_number 12
_symmetry_space_group_name_Hall '-C 2y'
loop_
_atom_site_label
_atom_site_type_symbol
_atom_site_fract_x
_atom_site_fract_y
_atom_site_fract_z
_atom_site_occupancy
Hf1 Hf 0.0000 0.0000 0.0000 1
Pd1 Pd 0.2335 0.0000 0.5006 1
Au1 Au 0.0000 0.2747 0.5000 1
Au2 Au 0.2500 0.2500 0.0000 1
```

***

# 4
Ba4Y5: simulated powder diffraction line list (Cu Kα X-rays), based on a crystal structure in Alexandria, relaxed with GGA-PBE.
Intensities are scaled so that the largest is 1000.

Top 10 peaks for 2θ from 15° to 90°, in order of rising 2θ:
28.0 deg, I = 1000; 32.0 deg, I = 187; 32.6 deg, I = 319; 46.3 deg, I = 234; 46.8 deg, I = 104; 54.6 deg, I = 149; 55.4 deg, I = 247; 57.8 deg, I = 111; 74.7 deg, I = 98; 75.4 deg, I = 56

Crystal structure
```
data_Ba4Y5
_chemical_formula_sum 'Ba8 Y10'
_cell_length_a 11.6459
_cell_length_b 11.6459
_cell_length_c 5.5931
_cell_angle_alpha 90.00
_cell_angle_beta 90.00
_cell_angle_gamma 90.00
_symmetry_space_group_name_H-M 'I 4/m m m'
_symmetry_Int_Tables_number 139
_symmetry_space_group_name_Hall '-I 4 2'
loop_
_atom_site_label
_atom_site_type_symbol
_atom_site_fract_x
_atom_site_fract_y
_atom_site_fract_z
_atom_site_occupancy
Ba1 Ba 0.0000 0.3188 0.0000 1
Y1 Y 0.0000 0.0000 0.0000 1
Y2 Y 0.1536 0.1536 0.5000 1
```

***

What did the third record say?
HfPd2Au4: simulated powder diffraction line list (Cu Kα X-rays), based on a crystal structure in Alexandria, relaxed with GGA-PBE.
Intensities are scaled so that the largest is 1000.

Top 10 peaks for 2θ from 15° to 90°, in order of rising 2θ:
15.5 deg, I = 132; 22.8 deg, I = 196; 38.5 deg, I = 1000; 39.0 deg, I = 965; 43.4 deg, I = 362; 45.3 deg, I = 330; 46.5 deg, I = 269; 65.5 deg, I = 188; 66.9 deg, I = 182; 76.0 deg, I = 136

Crystal structure
```
data_HfPd2Au4
_chemical_formula_sum 'Hf2 Pd4 Au8'
_cell_length_a 8.3416
_cell_length_b 7.8139
_cell_length_c 4.0066
_cell_angle_alpha 90.00
_cell_angle_beta 91.14
_cell_angle_gamma 90.00
_symmetry_space_group_name_H-M 'C 1 2/m 1'
_symmetry_Int_Tables_number 12
_symmetry_space_group_name_Hall '-C 2y'
loop_
_atom_site_label
_atom_site_type_symbol
_atom_site_fract_x
_atom_site_fract_y
_atom_site_fract_z
_atom_site_occupancy
Hf1 Hf 0.0000 0.0000 0.0000 1
Pd1 Pd 0.2335 0.0000 0.5006 1
Au1 Au 0.0000 0.2747 0.5000 1
Au2 Au 0.2500 0.2500 0.0000 1
```